The following is a computed powder X-ray diffraction pattern of CaGa3Ag5. It was derived from a structure optimized by DFT (PBE), using a wavelength of 1.5418 Å.
Peak positions follow from Bragg's law for the DFT cell and can differ from measured ones.

Atomic structure:
```
CaGa3Ag5
1.0
1.6542 -7.1918 0.0000
1.6542 7.1918 0.0000
0.0000 0.0000 14.9028
Ca Ga Ag
2 6 10
Cartesian
1.6542 4.8704 11.1771
1.6542 -4.8704 3.7257
1.6542 5.1089 3.7257
1.6542 1.9030 0.9811
1.6542 1.9030 6.4703
1.6542 -1.9030 8.4325
1.6542 -1.9030 13.9217
1.6542 -5.1089 11.1771
0.0000 0.0000 0.0000
0.0000 0.0000 7.4514
1.6542 4.4633 1.1382
1.6542 4.4633 6.3132
1.6542 0.4214 9.7742
1.6542 0.4214 12.5801
1.6542 -0.4214 2.3228
1.6542 -0.4214 5.1286
1.6542 -4.4633 8.5896
1.6542 -4.4633 13.7646
```

Top 8 peaks for 10 to 80 degrees two-theta, by intensity:
| 2θ/deg | intensity |
| --- | --- |
| 38.3 | 100 |
| 33.1 | 90 |
| 36.9 | 87 |
| 35.1 | 65 |
| 11.9 | 62 |
| 43.4 | 60 |
| 13.7 | 59 |
| 41.2 | 56 |

=====

The following is a computed powder X-ray diffraction pattern of Dy3SnRh4. It was derived from a structure optimized by DFT (PBE), using a wavelength of 1.5418 Å.
Peak positions follow from Bragg's law for the DFT cell and can differ from measured ones.

Atomic structure:
```
Dy3SnRh4
1.0
2.3863 1.3777 7.8035
-2.3863 1.3777 7.8035
0.0000 -2.7554 7.8035
Dy Sn Rh
3 1 4
Cartesian
0.0000 0.0000 0.0000
0.0000 0.0000 5.7558
0.0000 0.0000 17.6548
0.0000 0.0000 11.7053
0.0000 0.0000 2.9134
0.0000 0.0000 8.8231
0.0000 0.0000 14.5875
0.0000 0.0000 20.4971
```

Top 7 peaks for 10 to 80 degrees two-theta, by intensity:
| 2θ/deg | intensity |
| --- | --- |
| 37.7 | 100 |
| 68.0 | 35 |
| 54.3 | 17 |
| 26.4 | 4 |
| 61.4 | 2 |
| 46.6 | 1 |
| 28.8 | 1 |

=====

The following is a computed powder X-ray diffraction pattern of CdNi2H2. It was derived from a structure optimized by DFT (PBE), using a wavelength of 1.5418 Å.
Peak positions follow from Bragg's law for the DFT cell and can differ from measured ones.

Atomic structure:
```
CdNi2H2
1.0
0.0000 4.0849 4.4937
2.5296 0.0000 4.4937
2.5296 4.0849 0.0000
Cd Ni H
2 4 4
Cartesian
0.6324 1.0212 1.1234
4.4268 7.1486 7.8640
1.8972 1.7768 3.3703
3.1620 3.8192 5.6172
1.8972 4.3506 3.3703
3.1620 6.3930 5.6172
1.8972 3.0637 2.1382
3.1620 5.1061 4.3851
1.8972 3.0637 4.6024
3.1620 5.1061 6.8492
```

Top 8 peaks for 10 to 80 degrees two-theta, by intensity:
| 2θ/deg | intensity |
| --- | --- |
| 38.9 | 100 |
| 40.9 | 88 |
| 48.6 | 52 |
| 40.1 | 46 |
| 64.8 | 21 |
| 66.0 | 19 |
| 73.5 | 14 |
| 73.2 | 14 |

=====

The following is a computed powder X-ray diffraction pattern of Sc7Sb2Te2. It was derived from a structure optimized by DFT (PBE), using a wavelength of 1.5418 Å.
Peak positions follow from Bragg's law for the DFT cell and can differ from measured ones.

Atomic structure:
```
Sc7Sb2Te2
1.0
-2.0305 7.2235 4.4874
2.0305 -7.2235 4.4874
2.0305 7.2235 -4.4874
Sc Sb Te
7 2 2
Cartesian
0.0000 0.0000 0.0000
2.0305 5.4529 -0.8590
2.0305 2.5802 1.1206
0.0000 1.7705 3.6284
0.0000 5.0589 1.9944
0.0000 9.3880 1.9944
0.0000 4.6432 5.6080
2.0305 -3.8650 3.7878
2.0305 3.8650 3.7878
2.0305 0.0000 2.3167
0.0000 0.0000 5.9690
```

Top 8 peaks for 10 to 80 degrees two-theta, by intensity:
| 2θ/deg | intensity |
| --- | --- |
| 34.7 | 100 |
| 23.3 | 58 |
| 39.4 | 50 |
| 35.2 | 48 |
| 24.1 | 38 |
| 27.1 | 34 |
| 44.6 | 30 |
| 42.6 | 25 |

=====

The following is a computed powder X-ray diffraction pattern of CeGeBr5. It was derived from a structure optimized by DFT (PBE), using a wavelength of 1.5418 Å.
Peak positions follow from Bragg's law for the DFT cell and can differ from measured ones.

Atomic structure:
```
CeGeBr5
1.0
5.6018 -4.9726 0.0000
5.6018 4.9726 0.0000
-4.8656 0.0000 10.0603
Ce Ge Br
2 2 10
Cartesian
2.8009 2.4863 0.0000
0.3681 -2.4863 5.0301
1.9526 4.1523 7.5452
4.3854 -4.1523 2.5151
0.4081 2.2738 8.4774
0.1743 0.3801 4.9252
4.3854 2.4925 2.5151
-2.2585 -0.3801 9.9553
3.4971 2.2738 6.6130
2.8409 -2.2738 3.4472
8.5965 0.3801 0.1049
1.9526 -2.4925 7.5452
6.1637 -0.3801 5.1351
5.9299 -2.2738 1.5829
```

Top 8 peaks for 10 to 80 degrees two-theta, by intensity:
| 2θ/deg | intensity |
| --- | --- |
| 30.1 | 100 |
| 18.7 | 99 |
| 17.4 | 98 |
| 28.5 | 75 |
| 39.4 | 74 |
| 41.9 | 51 |
| 29.7 | 47 |
| 49.1 | 40 |

=====

The following is a computed powder X-ray diffraction pattern of Li4CO4. It was derived from a structure optimized by DFT (PBE), using a wavelength of 1.5418 Å.
Peak positions follow from Bragg's law for the DFT cell and can differ from measured ones.

Atomic structure:
```
Li4CO4
1.0
5.8509 0.0000 0.0000
0.0000 5.1205 0.0000
0.0000 0.0000 4.8992
Li C O
8 2 8
Cartesian
0.0000 0.4413 0.0000
0.0000 0.4615 2.4986
1.1809 2.9370 3.0989
1.7446 2.1835 0.6493
2.9255 4.6590 0.0490
2.9255 4.6792 2.4496
4.1064 2.1835 0.6493
4.6700 2.9370 3.0989
0.0000 3.5450 0.9943
2.9255 1.5755 3.4439
0.0000 2.1899 1.5216
0.0000 3.5284 4.5130
1.1593 4.2090 1.4903
1.7661 0.9116 3.9399
2.9255 1.5921 2.0634
2.9255 2.9306 3.9712
4.0848 0.9116 3.9399
4.6916 4.2090 1.4903
```

Top 8 peaks for 10 to 80 degrees two-theta, by intensity:
| 2θ/deg | intensity |
| --- | --- |
| 23.7 | 100 |
| 23.1 | 90 |
| 40.0 | 82 |
| 39.7 | 62 |
| 25.2 | 58 |
| 51.9 | 36 |
| 36.7 | 31 |
| 53.7 | 20 |

=====

The following is a computed powder X-ray diffraction pattern of La3Tb6NdTh2. It was derived from a structure optimized by DFT (PBE), using a wavelength of 1.5418 Å.
Peak positions follow from Bragg's law for the DFT cell and can differ from measured ones.

Atomic structure:
```
La3Tb6NdTh2
1.0
3.1439 -5.4448 0.0000
3.1439 5.4448 0.0000
-2.0992 0.0000 11.6815
La Tb Nd Th
3 6 1 2
Cartesian
0.0000 0.0000 0.0000
3.1439 1.8099 0.0000
3.1439 -1.8099 0.0000
1.0327 1.8412 2.9940
-0.0329 0.0000 8.6874
1.0327 -1.8412 2.9940
3.1559 1.8412 8.6875
4.2216 0.0000 2.9941
3.1559 -1.8412 8.6875
2.0943 0.0000 5.8408
2.0943 3.6301 5.8408
2.0943 -3.6301 5.8408
```

Top 8 peaks for 10 to 80 degrees two-theta, by intensity:
| 2θ/deg | intensity |
| --- | --- |
| 30.2 | 100 |
| 35.1 | 67 |
| 30.6 | 32 |
| 60.0 | 28 |
| 50.3 | 24 |
| 50.8 | 23 |
| 59.8 | 15 |
| 60.5 | 14 |

=====

The following is a computed powder X-ray diffraction pattern of Zr4Te3. It was derived from a structure optimized by DFT (PBE), using a wavelength of 1.5418 Å.
Peak positions follow from Bragg's law for the DFT cell and can differ from measured ones.

Atomic structure:
```
Zr4Te3
1.0
-1.8911 1.8911 11.8302
1.8911 -1.8911 11.8302
1.8911 1.8911 -11.8302
Zr Te
4 3
Cartesian
0.0000 0.0000 1.5194
0.0000 0.0000 8.5366
0.0000 0.0000 15.1238
0.0000 0.0000 22.1410
0.0000 0.0000 4.5820
0.0000 0.0000 11.8302
0.0000 0.0000 19.0784
```

Top 8 peaks for 10 to 80 degrees two-theta, by intensity:
| 2θ/deg | intensity |
| --- | --- |
| 35.6 | 100 |
| 33.5 | 81 |
| 61.3 | 40 |
| 48.1 | 29 |
| 41.8 | 14 |
| 70.4 | 9 |
| 22.5 | 9 |
| 73.1 | 8 |